Entry 1:
For Y2Sc2Tl2O, DFT lattice parameters and positions (GGA-PBE) gives the simulated powder diffraction line list in this record (CuKα).
Lines closer than 0.1° are merged.

Most intense lines, 2θ from 10° to 80°, sorted by position:
two_theta	d_spacing	I_rel
20.73	4.284	31
22.15	4.013	39
28.39	3.143	80
30.54	2.927	23
34.46	2.602	32
36.31	2.474	100
40.59	2.223	56
44.47	2.037	25
46.72	1.944	23
71.05	1.327	34

Cell and atoms:
```
14
Lattice="4.4453 0.0000 0.0000 0.0000 4.4453 0.0000 0.0000 0.0000 16.0502" Properties=species:S:1:pos:R:3 pbc="T T T"
Y 0.0000 0.0000 2.6668
Y 0.0000 0.0000 13.3834
Y 2.2226 2.2226 5.3583
Y 2.2226 2.2226 10.6919
Sc 0.0000 2.2226 0.0000
Sc 0.0000 2.2226 8.0251
Sc 2.2226 0.0000 0.0000
Sc 2.2226 0.0000 8.0251
Tl 0.0000 0.0000 5.8650
Tl 0.0000 0.0000 10.1851
Tl 2.2226 2.2226 2.1600
Tl 2.2226 2.2226 13.8901
O 0.0000 0.0000 0.0000
O 2.2226 2.2226 8.0251
```


Entry 2:
For YScTlO, DFT lattice parameters and positions (GGA-PBE) gives the simulated powder diffraction line list in this record (CuKα).
Lines closer than 0.1° are merged.

Most intense lines, 2θ from 10° to 80°, sorted by position:
two_theta	d_spacing	I_rel
18.46	4.806	59
21.13	4.205	15
26.96	3.308	27
28.88	3.091	54
34.50	2.600	100
37.43	2.403	24
39.53	2.280	21
43.02	2.102	16
47.95	1.897	27
65.65	1.422	16

Cell and atoms:
```
4
Lattice="4.2049 0.0000 0.0000 0.0000 4.5596 0.0000 0.0000 0.0000 4.8057" Properties=species:S:1:pos:R:3 pbc="T T T"
Y 0.0000 0.0000 0.0000
Sc 2.1024 0.0000 2.4028
Tl 2.1024 2.2798 0.0000
O 0.0000 0.0000 2.4028
```


Entry 3:
For Sc4TlZnO, DFT lattice parameters and positions (GGA-PBE) gives the simulated powder diffraction line list in this record (CuKα).
Lines closer than 0.1° are merged.

Most intense lines, 2θ from 10° to 80°, sorted by position:
two_theta	d_spacing	I_rel
15.71	5.642	33
18.82	4.714	31
21.43	4.147	39
27.44	3.250	46
29.23	3.055	64
31.69	2.824	35
38.21	2.356	100
41.82	2.160	62
56.64	1.625	24
73.96	1.282	28

Cell and atoms:
```
14
Lattice="3.0517 -7.3997 0.0000 3.0517 7.3997 0.0000 0.0000 0.0000 6.1159" Properties=species:S:1:pos:R:3 pbc="T T T"
Sc 1.5259 3.6998 0.0000
Sc 1.5259 3.6998 3.0580
Sc 3.0517 6.2770 4.5869
Sc 3.0517 1.2922 4.5869
Sc 1.5259 -3.6998 0.0000
Sc 1.5259 -3.6998 3.0580
Sc 3.0517 -1.2922 1.5290
Sc 3.0517 -6.2770 1.5290
Tl 3.0517 1.5984 1.5290
Tl 3.0517 -1.5984 4.5869
Zn 3.0517 5.6444 1.5290
Zn 3.0517 -5.6444 4.5869
O 3.0517 3.6895 4.5869
O 3.0517 -3.6895 1.5290
```